No. 1
Simulated powder diffractogram
Compound: DyZnSi2
Radiation: Cu Kα, 1.54184 Å
Structure: a DFT-relaxed cell (PBE, Alexandria)
Lines closer than 0.1° are merged.

Largest 10 diffraction maxima, by angle, 10 to 90 degrees two-theta:
- 21.1 deg, I 20, (1 0 0)
- 22.0 deg, I 35, (0 0 1)
- 30.0 deg, I 33, (1 1 0)
- 30.6 deg, I 16, (1 0 1)
- 37.5 deg, I 100, (1 1 1)
- 42.9 deg, I 34, (2 0 0)
- 44.8 deg, I 15, (0 0 2)
- 48.7 deg, I 18, (2 0 1)
- 63.8 deg, I 21, (2 0 2)
- 75.0 deg, I 26, (3 1 1)

```
data_DyZnSi2
_cell_length_a 4.215
_cell_length_b 4.215
_cell_length_c 4.044
_cell_angle_alpha 90.00
_cell_angle_beta 90.00
_cell_angle_gamma 90.00
_symmetry_space_group_name_H-M 'P 4/m m m'
_symmetry_Int_Tables_number 123
_symmetry_space_group_name_Hall '-P 4 2'
loop_
_atom_site_label
_atom_site_type_symbol
_atom_site_fract_x
_atom_site_fract_y
_atom_site_fract_z
Dy1 Dy 0.000 0.000 0.000
Zn1 Zn 0.500 0.500 0.000
Si1 Si 0.000 0.500 0.500
```

***

No. 2
Simulated powder diffractogram
Compound: Dy3Zn4Si2
Radiation: Cu Kα, 1.54184 Å
Structure: a DFT-relaxed cell (PBE, Alexandria)
Lines closer than 0.1° are merged.

Largest 10 diffraction maxima, by angle, 10 to 90 degrees two-theta:
- 23.8 deg, I 18, (2 0 -2)
- 24.2 deg, I 27, (1 1 -1)
- 33.9 deg, I 22, (4 0 -1)
- 34.0 deg, I 26, (0 0 3)
- 34.2 deg, I 100, (3 1 0)
- 42.1 deg, I 44, (3 1 -3)
- 42.8 deg, I 22, (0 2 0)
- 48.7 deg, I 13, (4 0 2)
- 55.7 deg, I 23, (0 2 3)
- 72.8 deg, I 12, (3 3 0)

```
data_Dy3Zn4Si2
_cell_length_a 10.587
_cell_length_b 4.230
_cell_length_c 8.344
_cell_angle_alpha 90.00
_cell_angle_beta 108.51
_cell_angle_gamma 90.00
_symmetry_space_group_name_H-M 'C 1 2/m 1'
_symmetry_Int_Tables_number 12
loop_
_symmetry_equiv_pos_as_xyz
'x,y,z'
'-x,-y,-z'
'-x,y,-z'
'x,-y,z'
'x+1/2,y+1/2,z'
'-x+1/2,-y+1/2,-z'
'-x+1/2,y+1/2,-z'
'x+1/2,-y+1/2,z'
loop_
_atom_site_label
_atom_site_type_symbol
_atom_site_fract_x
_atom_site_fract_y
_atom_site_fract_z
Dy1 Dy 0.000 0.000 0.000
Dy2 Dy 0.175 0.500 0.653
Zn1 Zn 0.025 0.000 0.362
Zn2 Zn 0.242 0.500 0.075
Si1 Si 0.109 0.500 0.275
```

***

No. 3
Simulated powder diffractogram
Compound: Dy5ZnSi2
Radiation: Cu Kα, 1.54184 Å
Structure: a DFT-relaxed cell (PBE, Alexandria)
Lines closer than 0.1° are merged.

Largest 10 diffraction maxima, by angle, 10 to 90 degrees two-theta:
- 27.4 deg, I 48, (2 1 1)
- 30.3 deg, I 31, (1 1 4)
- 32.8 deg, I 100, (2 1 3)
- 33.9 deg, I 22, (2 2 0)
- 34.8 deg, I 67, (2 0 4)
- 38.0 deg, I 60, (3 1 0)
- 50.7 deg, I 16, (4 1 1)
- 52.8 deg, I 23, (2 1 7)
- 54.1 deg, I 27, (4 1 3)
- 58.4 deg, I 28, (3 3 4)

```
data_Dy5ZnSi2
_cell_length_a 7.479
_cell_length_b 7.479
_cell_length_c 14.207
_cell_angle_alpha 90.00
_cell_angle_beta 90.00
_cell_angle_gamma 90.00
_symmetry_space_group_name_H-M 'I 4/m c m'
_symmetry_Int_Tables_number 140
_symmetry_space_group_name_Hall '-I 4 2c'
loop_
_atom_site_label
_atom_site_type_symbol
_atom_site_fract_x
_atom_site_fract_y
_atom_site_fract_z
Dy1 Dy 0.000 0.000 0.000
Dy2 Dy 0.174 0.326 0.142
Zn1 Zn 0.000 0.000 0.250
Si1 Si 0.121 0.379 0.500
```